# 1
Simulated X-ray powder pattern of KAs2H for λ = 1.5418 Å (Cu Kα), from DFT lattice parameters and positions (PBE).

Most intense lines, 10 to 90 degrees two-theta, sorted by position:
d = 5.090 Å, intensity 58, hkl 1 0 1; d = 3.137 Å, intensity 14, hkl 1 1 2; d = 2.710 Å, intensity 54, hkl 1 0 3; d = 2.634 Å, intensity 100, hkl 2 1 1; d = 2.545 Å, intensity 98, hkl 2 0 2; d = 2.176 Å, intensity 17, hkl 2 2 0; d = 1.737 Å, intensity 14, hkl 1 0 5; d = 1.678 Å, intensity 24, hkl 3 2 1; d = 1.569 Å, intensity 34, hkl 2 2 4; d = 1.539 Å, intensity 16, hkl 4 0 0; d = 1.355 Å, intensity 13, hkl 2 0 6; d = 1.317 Å, intensity 24, hkl 4 2 2

Structural model:
Cell: 6.155 6.155 9.053 Å, 90.00 90.00 90.00°
Space group I4_1/amd (No. 141, origin choice 2)
Asymmetric unit:
K1 0.000 0.250 0.375 [4 per cell]
As1 0.000 0.000 0.000 [8 per cell]
H1 0.000 0.250 0.875 [4 per cell]



# 2
Simulated X-ray powder pattern of Sb4RuPt for λ = 1.5418 Å (Cu Kα), from DFT lattice parameters and positions (PBE).

Most intense lines, 10 to 90 degrees two-theta, sorted by position:
d = 3.267 Å, intensity 71, hkl 0 0 2; d = 3.244 Å, intensity 47, hkl 2 0 0; d = 2.921 Å, intensity 100, hkl 0 2 1; d = 2.905 Å, intensity 92, hkl 2 1 0; d = 2.871 Å, intensity 79, hkl 1 0 2; d = 2.704 Å, intensity 49, hkl 1 1 -2; d = 2.693 Å, intensity 73, hkl 2 1 -1; d = 1.993 Å, intensity 68, hkl 1 1 -3; d = 1.982 Å, intensity 43, hkl 3 1 -1; d = 1.976 Å, intensity 58, hkl 1 3 -1; d = 1.960 Å, intensity 52, hkl 1 3 1; d = 1.937 Å, intensity 53, hkl 3 1 1

Structural model:
Cell: 6.494 6.530 6.544 Å, 90.00 92.44 90.00°
Space group P2_1/c (No. 14)
Asymmetric unit:
Sb1 0.114 0.134 0.140 [4 per cell]
Sb2 0.369 0.627 0.119 [4 per cell]
Ru1 0.000 0.000 0.500 [2 per cell]
Pt1 0.500 0.000 0.000 [2 per cell]



# 3
Simulated X-ray powder pattern of UCdIr4 for λ = 1.5418 Å (Cu Kα), from DFT lattice parameters and positions (PBE).

Most intense lines, 10 to 90 degrees two-theta, sorted by position:
d = 4.323 Å, intensity 11, hkl 1 1 1; d = 3.744 Å, intensity 3, hkl 2 0 0; d = 2.647 Å, intensity 23, hkl 2 2 0; d = 2.258 Å, intensity 100, hkl 3 1 1; d = 2.162 Å, intensity 44, hkl 2 2 2; d = 1.872 Å, intensity 6, hkl 4 0 0; d = 1.528 Å, intensity 9, hkl 4 2 2; d = 1.441 Å, intensity 33, hkl 5 1 1; d = 1.324 Å, intensity 29, hkl 4 4 0; d = 1.184 Å, intensity 4, hkl 6 2 0; d = 1.142 Å, intensity 12, hkl 5 3 3; d = 1.129 Å, intensity 17, hkl 6 2 2

Structural model:
Cell: 7.488 7.488 7.488 Å, 90.00 90.00 90.00°
Space group F-43m (No. 216)
Asymmetric unit:
U1 0.000 0.000 0.000 [4 per cell]
Cd1 0.250 0.250 0.250 [4 per cell]
Ir1 0.124 0.124 0.624 [16 per cell]



# 4
Simulated X-ray powder pattern of KPmGa2I6 for λ = 1.5418 Å (Cu Kα), from DFT lattice parameters and positions (PBE).

Most intense lines, 10 to 90 degrees two-theta, sorted by position:
d = 6.865 Å, intensity 19, hkl 1 0 1; d = 6.078 Å, intensity 18, hkl 0 1 2; d = 3.643 Å, intensity 100, hkl 2 -1 3; d = 2.795 Å, intensity 58, hkl 2 -1 6; d = 2.454 Å, intensity 10, hkl 3 -1 4; d = 2.402 Å, intensity 42, hkl 3 0 0; d = 2.153 Å, intensity 25, hkl 1 1 9; d = 2.005 Å, intensity 13, hkl 2 2 3; d = 1.886 Å, intensity 9, hkl 0 0 12; d = 1.821 Å, intensity 13, hkl 2 2 6; d = 1.484 Å, intensity 13, hkl 0 3 12; d = 1.451 Å, intensity 12, hkl 5 -1 6

Structural model:
Cell: 8.3182 8.3182 22.6469 Å, 90.00 90.00 120.00°
Space group R3 (No. 146, hexagonal axes)
Asymmetric unit:
K1 0.0000 0.0000 0.0000 [3 per cell]
Pm1 0.0000 0.0000 0.4901 [3 per cell]
Ga1 0.0000 0.0000 0.3041 [3 per cell]
Ga2 0.0000 0.0000 0.8103 [3 per cell]
I1 0.0082 0.3566 0.2283 [9 per cell]
I2 0.0263 0.6340 0.0683 [9 per cell]



# 5
Simulated X-ray powder pattern of TbAs2Pd7 for λ = 1.5418 Å (Cu Kα), from DFT lattice parameters and positions (PBE).

Most intense lines, 10 to 90 degrees two-theta, sorted by position:
d = 3.531 Å, intensity 16, hkl 1 0 3; d = 2.810 Å, intensity 17, hkl 1 1 2; d = 2.544 Å, intensity 14, hkl 0 0 8; d = 2.535 Å, intensity 23, hkl 1 1 4; d = 2.215 Å, intensity 100, hkl 1 1 6; d = 2.068 Å, intensity 52, hkl 2 0 0; d = 1.604 Å, intensity 13, hkl 2 0 8; d = 1.462 Å, intensity 17, hkl 2 2 0; d = 1.311 Å, intensity 8, hkl 2 0 12; d = 1.302 Å, intensity 11, hkl 1 1 14; d = 1.267 Å, intensity 11, hkl 2 2 8; d = 1.220 Å, intensity 29, hkl 3 1 6

Structural model:
Cell: 4.135 4.135 20.351 Å, 90.00 90.00 90.00°
Space group I4/mmm (No. 139)
Asymmetric unit:
Tb1 0.000 0.000 0.000 [2 per cell]
As1 0.000 0.000 0.326 [4 per cell]
Pd1 0.000 0.000 0.500 [2 per cell]
Pd2 0.000 0.500 0.104 [8 per cell]
Pd3 0.000 0.500 0.250 [4 per cell]



# 6
Simulated X-ray powder pattern of Ho4Tl5H2 for λ = 1.5418 Å (Cu Kα), from DFT lattice parameters and positions (PBE).

Most intense lines, 10 to 90 degrees two-theta, sorted by position:
d = 3.013 Å, intensity 56, hkl 1 1 2; d = 2.976 Å, intensity 77, hkl 0 0 6; d = 2.654 Å, intensity 56, hkl 1 2 1; d = 2.601 Å, intensity 33, hkl 1 1 4; d = 2.566 Å, intensity 100, hkl 0 3 3; d = 2.146 Å, intensity 34, hkl 1 2 5; d = 1.849 Å, intensity 17, hkl 1 2 7; d = 1.727 Å, intensity 16, hkl 2 0 0; d = 1.627 Å, intensity 26, hkl 0 3 9; d = 1.493 Å, intensity 20, hkl 2 0 6; d = 1.432 Å, intensity 34, hkl 2 3 3; d = 1.184 Å, intensity 22, hkl 2 3 9

Structural model:
Cell: 3.453 8.531 17.858 Å, 90.00 90.00 90.00°
Space group Immm (No. 71)
Asymmetric unit:
Ho1 0.000 0.000 0.170 [4 per cell]
Ho2 0.000 0.320 0.500 [4 per cell]
Tl1 0.000 0.179 0.332 [8 per cell]
Tl2 0.000 0.500 0.000 [2 per cell]
H1 0.000 0.000 0.051 [4 per cell]



# 7
Simulated X-ray powder pattern of Sr10P6BrClO24 for λ = 1.5418 Å (Cu Kα), from DFT lattice parameters and positions (PBE).

Most intense lines, 10 to 90 degrees two-theta, sorted by position:
d = 3.003 Å, intensity 82, hkl 2 1 1; d = 2.943 Å, intensity 100, hkl 2 -1 2; d = 2.910 Å, intensity 66, hkl 3 0 0; d = 2.180 Å, intensity 15, hkl 2 -1 3; d = 2.069 Å, intensity 43, hkl 2 2 2; d = 1.950 Å, intensity 25, hkl 3 -2 3; d = 1.930 Å, intensity 21, hkl 5 -3 1; d = 1.905 Å, intensity 21, hkl 4 1 0; d = 1.870 Å, intensity 14, hkl 4 0 2; d = 1.812 Å, intensity 14, hkl 0 0 4; d = 1.538 Å, intensity 15, hkl 0 3 4; d = 1.304 Å, intensity 15, hkl 7 -2 2

Structural model:
Cell: 10.0803 10.0803 7.2495 Å, 90.00 90.00 120.00°
Space group P-3 (No. 147)
Asymmetric unit:
Sr1 0.0028 0.2587 0.2463 [6 per cell]
Sr2 0.3333 0.6667 0.0025 [2 per cell]
Sr3 0.3333 0.6667 0.4995 [2 per cell]
P1 0.0348 0.4076 0.7488 [6 per cell]
Br1 0.0000 0.0000 0.5000 [1 per cell]
Cl1 0.0000 0.0000 0.0000 [1 per cell]
O1 0.0877 0.3539 0.9210 [6 per cell]
O2 0.0889 0.3595 0.5732 [6 per cell]
O3 0.1223 0.5870 0.7530 [6 per cell]
O4 0.1418 0.6586 0.2502 [6 per cell]



# 8
Simulated X-ray powder pattern of TbTh4Sc3 for λ = 1.5418 Å (Cu Kα), from DFT lattice parameters and positions (PBE).

Most intense lines, 10 to 90 degrees two-theta, sorted by position:
d = 6.889 Å, intensity 11, hkl 0 0 1; d = 5.222 Å, intensity 29, hkl 1 0 -1; d = 3.567 Å, intensity 16, hkl 0 1 -2; d = 2.829 Å, intensity 100, hkl 0 2 -1; d = 2.820 Å, intensity 33, hkl 2 0 -1; d = 2.476 Å, intensity 27, hkl 2 -2 0; d = 2.434 Å, intensity 44, hkl 1 1 1; d = 1.739 Å, intensity 16, hkl -1 3 1; d = 1.721 Å, intensity 15, hkl 2 2 -2; d = 1.489 Å, intensity 10, hkl -3 3 2; d = 1.471 Å, intensity 23, hkl 1 3 0; d = 1.468 Å, intensity 14, hkl 3 1 0

Structural model:
Cell: 6.017 6.045 7.696 Å, 104.84 104.64 110.41°
Space group P-1 (No. 2)
Asymmetric unit:
Tb1 0.000 0.000 0.000 [1 per cell]
Th1 0.127 0.627 0.254 [2 per cell]
Th2 0.254 0.254 0.508 [2 per cell]
Sc1 0.377 0.877 0.755 [2 per cell]
Sc2 0.500 0.500 0.000 [1 per cell]



# 9
Simulated X-ray powder pattern of Y3Si12Os4 for λ = 1.5418 Å (Cu Kα), from DFT lattice parameters and positions (PBE).

Most intense lines, 10 to 90 degrees two-theta, sorted by position:
d = 4.222 Å, intensity 100, hkl 3 1 1; d = 4.083 Å, intensity 26, hkl 0 2 0; d = 3.095 Å, intensity 29, hkl 6 0 0; d = 2.887 Å, intensity 28, hkl 0 2 2; d = 2.757 Å, intensity 24, hkl 2 2 2; d = 2.557 Å, intensity 83, hkl 1 1 3; d = 2.466 Å, intensity 56, hkl 6 2 0; d = 2.120 Å, intensity 37, hkl 5 1 3; d = 1.994 Å, intensity 41, hkl 2 4 0; d = 1.850 Å, intensity 36, hkl 7 1 3; d = 1.573 Å, intensity 34, hkl 6 4 2; d = 1.443 Å, intensity 25, hkl 0 4 4

Structural model:
Cell: 18.568 8.163 8.167 Å, 90.00 90.00 90.00°
Space group Cmce (No. 64)
Asymmetric unit:
Y1 0.000 0.000 0.000 [4 per cell]
Y2 0.250 0.248 0.250 [8 per cell]
Si1 0.000 0.167 0.333 [8 per cell]
Si2 0.117 0.003 0.728 [16 per cell]
Si3 0.117 0.228 0.505 [16 per cell]
Si4 0.205 0.000 0.500 [8 per cell]
Os1 0.000 0.127 0.627 [8 per cell]
Os2 0.169 0.000 0.000 [8 per cell]